Theoretical X-ray powder pattern of CoBi2O4 for Cu Kα, from a structure optimized by DFT (PBE+U).
Peak positions follow from Bragg's law for the DFT cell and can differ from measured ones.

Structural model:
a = 11.349 Å, b = 3.722 Å, c = 11.111 Å
α = 90.00°, β = 90.00°, γ = 90.00°
Fractional coordinates of all 28 atoms:
Co 0.199 0.250 0.117
Co 0.301 0.750 0.617
Co 0.699 0.250 0.383
Co 0.801 0.750 0.883
Bi 0.084 0.250 0.797
Bi 0.120 0.250 0.411
Bi 0.380 0.750 0.911
Bi 0.416 0.750 0.297
Bi 0.584 0.250 0.703
Bi 0.620 0.250 0.089
Bi 0.880 0.750 0.589
Bi 0.916 0.750 0.203
O 0.026 0.250 0.606
O 0.055 0.250 0.199
O 0.203 0.750 0.756
O 0.241 0.750 0.465
O 0.259 0.250 0.965
O 0.297 0.250 0.256
O 0.445 0.750 0.699
O 0.474 0.750 0.106
O 0.526 0.250 0.894
O 0.555 0.250 0.301
O 0.703 0.750 0.744
O 0.741 0.750 0.035
O 0.759 0.250 0.535
O 0.797 0.250 0.244
O 0.945 0.750 0.801
O 0.974 0.750 0.394

The 10 most intense peaks (5° ≤ 2θ ≤ 70°), low angle first:
| hkl | d_spacing | I_rel |
| --- | --- | --- |
| 1 0 2 | 4.990 | 27 |
| 3 0 2 | 3.127 | 40 |
| 2 1 0 | 3.112 | 100 |
| 2 0 3 | 3.102 | 66 |
| 1 1 2 | 2.983 | 34 |
| 0 1 3 | 2.625 | 39 |
| 1 0 5 | 2.181 | 24 |
| 4 1 3 | 1.927 | 23 |
| 5 1 2 | 1.830 | 28 |
| 3 1 5 | 1.704 | 31 |